# 1
This entry pairs a crystal structure of CsGaCuF6 with its theoretical powder diffraction line list. Radiation: Cu Kα, 1.54184 Å. Structure: a PBE-relaxed structure.
Kinematic intensities with the Lorentz-polarization factor, no thermal factor.

Main lines, most intense first (10 to 90 degrees two-theta):
| 2theta | d (Å) | I_rel | index |
| --- | --- | --- | --- |
| 28.27 | 3.156 | 100.0 | 1 2 1 |
| 28.58 | 3.124 | 82.5 | 2 1 1 |
| 24.02 | 3.706 | 70.4 | 1 1 2 |
| 49.20 | 1.852 | 69.0 | 2 2 4 |
| 28.06 | 3.180 | 48.7 | 0 1 3 |
| 28.16 | 3.168 | 46.8 | 1 0 3 |
| 45.40 | 1.997 | 34.9 | 3 0 3 |
| 29.42 | 3.036 | 29.9 | 0 2 2 |
| 29.80 | 2.998 | 29.7 | 2 0 2 |
| 44.77 | 2.024 | 24.9 | 0 3 3 |

Cell and atoms:
Lattice parameters (Å, degrees): 7.285 7.425 10.556 90.00 90.00 90.00
Space group Imma (No. 74)
Symmetry-distinct sites (fractional):
Cs  0.000  0.250  0.122 (multiplicity 4)
Ga  0.000  0.000  0.500 (multiplicity 4)
Cu  0.250  0.250  0.750 (multiplicity 4)
F  0.000  0.250  0.437 (multiplicity 4)
F  0.000  0.250  0.819 (multiplicity 4)
F  0.188  0.049  0.620 (multiplicity 16)

# 2
This entry pairs a crystal structure of Cs2MgTi2Cu2O2F10 with its theoretical powder diffraction line list. Radiation: Cu Kα, 1.54184 Å. Structure: a PBE-relaxed structure.
Kinematic intensities with the Lorentz-polarization factor, no thermal factor.

Main lines, most intense first (10 to 90 degrees two-theta):
| 2theta | d (Å) | I_rel | index |
| --- | --- | --- | --- |
| 27.45 | 3.249 | 100.0 | 4 0 -1 |
| 27.99 | 3.187 | 85.3 | 3 1 -2 |
| 22.32 | 3.983 | 78.0 | 1 1 1 |
| 26.82 | 3.324 | 51.1 | 1 1 -2 |
| 36.65 | 2.452 | 37.0 | 4 2 -1 |
| 41.21 | 2.191 | 28.1 | 0 0 3 |
| 28.73 | 3.107 | 26.8 | 2 2 0 |
| 48.77 | 1.867 | 25.4 | 0 4 0 |
| 23.83 | 3.734 | 25.2 | 0 2 0 |
| 35.31 | 2.542 | 21.9 | 3 1 1 |

Cell and atoms:
Lattice parameters (Å, degrees): 13.073 7.468 7.668 90.00 121.01 90.00
Space group Cm (No. 8)
Symmetry-distinct sites (fractional):
Cs  0.000  0.000  0.000 (multiplicity 2)
Cs  0.176  0.000  0.664 (multiplicity 2)
Mg  0.492  0.000  0.706 (multiplicity 2)
Ti  0.336  0.243  0.338 (multiplicity 4)
Cu  0.075  0.500  0.280 (multiplicity 2)
Cu  0.252  0.500  0.034 (multiplicity 2)
O  0.345  0.000  0.425 (multiplicity 2)
O  0.352  0.500  0.313 (multiplicity 2)
F  0.152  0.500  0.751 (multiplicity 2)
F  0.207  0.293  0.385 (multiplicity 4)
F  0.222  0.185  0.063 (multiplicity 4)
F  0.461  0.267  0.638 (multiplicity 4)
F  0.465  0.207  0.288 (multiplicity 4)
F  0.486  0.000  0.948 (multiplicity 2)

# 3
This entry pairs a crystal structure of Cs2NbCuF6 with its theoretical powder diffraction line list. Radiation: Cu Kα, 1.54184 Å. Structure: a PBE-relaxed structure.
Kinematic intensities with the Lorentz-polarization factor, no thermal factor.

Main lines, most intense first (10 to 90 degrees two-theta):
| 2theta | d (Å) | I_rel | index |
| --- | --- | --- | --- |
| 28.18 | 3.166 | 100.0 | 2 2 0 |
| 49.89 | 1.828 | 40.6 | 4 2 2 |
| 40.28 | 2.239 | 36.8 | 4 0 0 |
| 58.28 | 1.583 | 23.0 | 4 4 0 |
| 80.21 | 1.197 | 20.9 | 6 4 2 |
| 65.97 | 1.416 | 18.1 | 6 2 0 |
| 34.70 | 2.585 | 11.6 | 2 2 2 |
| 73.22 | 1.293 | 7.4 | 4 4 4 |
| 69.64 | 1.350 | 3.6 | 6 2 2 |
| 87.05 | 1.119 | 3.5 | 8 0 0 |

Cell and atoms:
Lattice parameters (Å, degrees): 8.956 8.956 8.956 90.00 90.00 90.00
Space group Fm-3m (No. 225)
Symmetry-distinct sites (fractional):
Cs  0.250  0.250  0.250 (multiplicity 8)
Nb  0.000  0.000  0.000 (multiplicity 4)
Cu  0.000  0.000  0.500 (multiplicity 4)
F  0.000  0.000  0.238 (multiplicity 24)

# 4
This entry pairs a crystal structure of CsTiCuOF5 with its theoretical powder diffraction line list. Radiation: Cu Kα, 1.54184 Å. Structure: a PBE-relaxed structure.
Kinematic intensities with the Lorentz-polarization factor, no thermal factor.

Main lines, most intense first (10 to 90 degrees two-theta):
| 2theta | d (Å) | I_rel | index |
| --- | --- | --- | --- |
| 28.61 | 3.120 | 100.0 | 1 2 1 |
| 27.68 | 3.222 | 57.6 | 1 0 3 |
| 23.89 | 3.725 | 42.9 | 1 1 2 |
| 48.91 | 1.862 | 37.7 | 2 2 4 |
| 45.04 | 2.013 | 27.5 | 0 3 3 |
| 29.59 | 3.019 | 26.9 | 2 0 2 |
| 50.06 | 1.822 | 19.4 | 4 0 0 |
| 24.43 | 3.644 | 16.7 | 2 0 0 |
| 58.15 | 1.586 | 14.9 | 1 4 3 |
| 45.66 | 1.987 | 12.9 | 3 2 1 |

Cell and atoms:
Lattice parameters (Å, degrees): 7.285 7.294 10.777 90.00 90.00 90.00
Space group Imma (No. 74)
Symmetry-distinct sites (fractional):
Cs  0.000  0.250  0.123 (multiplicity 4)
Ti  0.250  0.250  0.750 (multiplicity 4)
Cu  0.000  0.000  0.500 (multiplicity 4)
O  0.000  0.250  0.792 (multiplicity 4)
F  0.000  0.250  0.436 (multiplicity 4)
F  0.208  0.059  0.626 (multiplicity 16)

# 5
This entry pairs a crystal structure of Cs2RbCuF6 with its theoretical powder diffraction line list. Radiation: Cu Kα, 1.54184 Å. Structure: a PBE-relaxed structure.
Kinematic intensities with the Lorentz-polarization factor, no thermal factor.

Main lines, most intense first (10 to 90 degrees two-theta):
| 2theta | d (Å) | I_rel | index |
| --- | --- | --- | --- |
| 27.21 | 3.277 | 100.0 | 2 2 0 |
| 48.09 | 1.892 | 37.8 | 4 2 2 |
| 38.87 | 2.317 | 33.9 | 4 0 0 |
| 76.99 | 1.239 | 22.1 | 6 4 2 |
| 63.48 | 1.465 | 20.7 | 6 2 0 |
| 56.14 | 1.638 | 20.3 | 4 4 0 |
| 33.49 | 2.676 | 11.2 | 2 2 2 |
| 89.79 | 1.092 | 10.6 | 6 6 0 |
| 70.38 | 1.338 | 6.2 | 4 4 4 |
| 83.43 | 1.159 | 2.9 | 8 0 0 |

Cell and atoms:
Lattice parameters (Å, degrees): 9.268 9.268 9.268 90.00 90.00 90.00
Space group Fm-3m (No. 225)
Symmetry-distinct sites (fractional):
Cs  0.250  0.250  0.250 (multiplicity 8)
Rb  0.000  0.000  0.000 (multiplicity 4)
Cu  0.000  0.000  0.500 (multiplicity 4)
F  0.000  0.000  0.291 (multiplicity 24)

# 6
This entry pairs a crystal structure of Cs2TiCu3F12 with its theoretical powder diffraction line list. Radiation: Cu Kα, 1.54184 Å. Structure: a PBE-relaxed structure.
Kinematic intensities with the Lorentz-polarization factor, no thermal factor.

Main lines, most intense first (10 to 90 degrees two-theta):
| 2theta | d (Å) | I_rel | index |
| --- | --- | --- | --- |
| 25.99 | 3.429 | 100.0 | 2 1 -1 |
| 29.36 | 3.042 | 84.0 | 1 2 -2 |
| 28.34 | 3.149 | 69.2 | 0 1 3 |
| 46.05 | 1.971 | 45.4 | 2 2 2 |
| 26.08 | 3.416 | 43.6 | 1 0 2 |
| 22.56 | 3.941 | 42.0 | 1 1 1 |
| 25.08 | 3.551 | 39.0 | 0 2 0 |
| 28.19 | 3.165 | 34.3 | 2 1 -3 |
| 39.35 | 2.290 | 33.3 | 3 0 0 |
| 30.39 | 2.941 | 29.6 | 0 2 2 |

Cell and atoms:
Lattice parameters (Å, degrees): 8.030 7.085 12.334 90.00 121.18 90.00
Space group P2_1/c (No. 14)
Symmetry-distinct sites (fractional):
Cs  0.162  0.002  0.387 (multiplicity 4)
Ti  0.000  0.000  0.000 (multiplicity 2)
Cu  0.489  0.229  0.742 (multiplicity 4)
Cu  0.500  0.000  0.000 (multiplicity 2)
F  0.142  0.221  0.085 (multiplicity 4)
F  0.164  0.544  0.434 (multiplicity 4)
F  0.164  0.650  0.644 (multiplicity 4)
F  0.409  0.174  0.862 (multiplicity 4)
F  0.438  0.528  0.180 (multiplicity 4)
F  0.472  0.717  0.397 (multiplicity 4)

# 7
This entry pairs a crystal structure of CsTlCuF6 with its theoretical powder diffraction line list. Radiation: Cu Kα, 1.54184 Å. Structure: a PBE-relaxed structure.
Kinematic intensities with the Lorentz-polarization factor, no thermal factor.

Main lines, most intense first (10 to 90 degrees two-theta):
| 2theta | d (Å) | I_rel | index |
| --- | --- | --- | --- |
| 26.34 | 3.384 | 100.0 | 1 2 1 |
| 46.63 | 1.948 | 47.5 | 2 2 4 |
| 27.02 | 3.300 | 37.2 | 1 0 3 |
| 28.61 | 3.121 | 36.0 | 2 0 2 |
| 14.19 | 6.241 | 35.7 | 1 0 1 |
| 27.45 | 3.249 | 34.3 | 0 2 2 |
| 27.24 | 3.274 | 29.3 | 2 1 1 |
| 43.05 | 2.101 | 21.9 | 3 2 1 |
| 26.72 | 3.336 | 20.3 | 0 1 3 |
| 23.47 | 3.790 | 19.1 | 2 0 0 |

Cell and atoms:
Lattice parameters (Å, degrees): 7.581 8.055 10.996 90.00 90.00 90.00
Space group Imma (No. 74)
Symmetry-distinct sites (fractional):
Cs  0.000  0.250  0.111 (multiplicity 4)
Tl  0.000  0.000  0.500 (multiplicity 4)
Cu  0.250  0.250  0.750 (multiplicity 4)
F  0.000  0.250  0.404 (multiplicity 4)
F  0.000  0.250  0.796 (multiplicity 4)
F  0.216  0.066  0.622 (multiplicity 16)

# 8
This entry pairs a crystal structure of Cs2ZrCu3F12 with its theoretical powder diffraction line list. Radiation: Cu Kα, 1.54184 Å. Structure: a PBE-relaxed structure.
Kinematic intensities with the Lorentz-polarization factor, no thermal factor.

Main lines, most intense first (10 to 90 degrees two-theta):
| 2theta | d (Å) | I_rel | index |
| --- | --- | --- | --- |
| 25.39 | 3.508 | 100.0 | 0 1 5 |
| 27.71 | 3.219 | 66.6 | 1 1 3 |
| 28.81 | 3.099 | 46.0 | 0 2 1 |
| 29.74 | 3.004 | 43.4 | 2 0 2 |
| 50.46 | 1.809 | 36.4 | 2 2 0 |
| 44.84 | 2.021 | 33.3 | 2 0 8 |
| 24.61 | 3.617 | 33.0 | 1 1 0 |
| 45.27 | 2.003 | 28.2 | 3 0 3 |
| 38.27 | 2.352 | 24.6 | 0 0 9 |
| 57.31 | 1.608 | 24.3 | 3 1 5 |

Cell and atoms:
Lattice parameters (Å, degrees): 7.2346 7.2346 21.1659 90.00 90.00 120.00
Space group R-3m (No. 166, hexagonal axes)
Symmetry-distinct sites (fractional):
Cs  0.0000  0.0000  0.1059 (multiplicity 6)
Zr  0.0000  0.0000  0.5000 (multiplicity 3)
Cu  0.0000  0.5000  0.0000 (multiplicity 9)
F  0.0613  0.5306  0.1133 (multiplicity 18)
F  0.0776  0.5388  0.3464 (multiplicity 18)

# 9
This entry pairs a crystal structure of Cs2ZrCu3F12 with its theoretical powder diffraction line list. Radiation: Cu Kα, 1.54184 Å. Structure: a PBE-relaxed structure.
Kinematic intensities with the Lorentz-polarization factor, no thermal factor.

Main lines, most intense first (10 to 90 degrees two-theta):
| 2theta | d (Å) | I_rel | index |
| --- | --- | --- | --- |
| 26.60 | 3.352 | 100.0 | 2 1 -1 |
| 24.50 | 3.634 | 75.1 | 0 2 0 |
| 27.35 | 3.261 | 71.9 | 1 0 -3 |
| 28.16 | 3.169 | 70.8 | 1 2 -1 |
| 28.66 | 3.115 | 67.4 | 1 2 1 |
| 27.65 | 3.226 | 55.5 | 2 1 1 |
| 30.04 | 2.975 | 55.0 | 0 2 2 |
| 47.60 | 1.910 | 54.5 | 2 2 -4 |
| 23.28 | 3.820 | 49.1 | 1 1 -2 |
| 28.53 | 3.128 | 45.5 | 0 1 3 |

Cell and atoms:
Lattice parameters (Å, degrees): 7.907 7.255 10.429 90.00 94.15 90.00
Space group P2_1/m (No. 11)
Symmetry-distinct sites (fractional):
Cs  0.012  0.250  0.149 (multiplicity 2)
Cs  0.448  0.750  0.624 (multiplicity 2)
Zr  0.298  0.750  0.240 (multiplicity 2)
Cu  0.000  0.000  0.500 (multiplicity 2)
Cu  0.219  0.250  0.771 (multiplicity 2)
Cu  0.500  0.000  0.000 (multiplicity 2)
F  0.014  0.250  0.439 (multiplicity 2)
F  0.062  0.750  0.147 (multiplicity 2)
F  0.141  0.050  0.658 (multiplicity 4)
F  0.231  0.574  0.383 (multiplicity 4)
F  0.295  0.057  0.895 (multiplicity 4)
F  0.350  0.017  0.173 (multiplicity 4)
F  0.401  0.750  0.036 (multiplicity 2)
F  0.462  0.250  0.674 (multiplicity 2)

# 10
This entry pairs a crystal structure of CsGd2Cu3Se5 with its theoretical powder diffraction line list. Radiation: Cu Kα, 1.54184 Å. Structure: a PBE-relaxed structure.
Kinematic intensities with the Lorentz-polarization factor, no thermal factor.

Main lines, most intense first (10 to 90 degrees two-theta):
| 2theta | d (Å) | I_rel | index |
| --- | --- | --- | --- |
| 28.55 | 3.127 | 100.0 | 1 3 1 |
| 30.53 | 2.928 | 90.0 | 0 0 6 |
| 28.09 | 3.177 | 82.5 | 1 3 0 |
| 29.90 | 2.988 | 74.0 | 1 3 2 |
| 46.08 | 1.970 | 72.9 | 1 3 7 |
| 43.45 | 2.083 | 67.2 | 2 0 0 |
| 34.85 | 2.575 | 65.0 | 1 3 4 |
| 37.36 | 2.407 | 52.0 | 1 5 0 |
| 54.02 | 1.697 | 39.3 | 2 0 6 |
| 38.79 | 2.321 | 36.1 | 1 5 2 |

Cell and atoms:
Lattice parameters (Å, degrees): 4.165 14.746 17.569 90.00 90.00 90.00
Space group Cmcm (No. 63)
Symmetry-distinct sites (fractional):
Cs  0.000  0.061  0.250 (multiplicity 4)
Gd  0.000  0.192  0.591 (multiplicity 8)
Cu  0.000  0.342  0.250 (multiplicity 4)
Cu  0.000  0.416  0.532 (multiplicity 8)
Se  0.000  0.167  0.070 (multiplicity 8)
Se  0.000  0.236  0.750 (multiplicity 4)
Se  0.000  0.440  0.111 (multiplicity 8)

# 11
This entry pairs a crystal structure of CsCu3GeSe4 with its theoretical powder diffraction line list. Radiation: Cu Kα, 1.54184 Å. Structure: a PBE-relaxed structure.
Kinematic intensities with the Lorentz-polarization factor, no thermal factor.

Main lines, most intense first (10 to 90 degrees two-theta):
| 2theta | d (Å) | I_rel | index |
| --- | --- | --- | --- |
| 39.98 | 2.255 | 100.0 | 2 2 0 |
| 24.17 | 3.683 | 88.8 | 1 1 1 |
| 47.26 | 1.923 | 34.7 | 3 1 1 |
| 19.68 | 4.511 | 34.5 | 1 1 0 |
| 34.44 | 2.604 | 23.8 | 2 1 1 |
| 72.61 | 1.302 | 22.7 | 4 2 2 |
| 53.77 | 1.705 | 17.3 | 3 2 1 |
| 61.69 | 1.504 | 15.6 | 4 1 1 |
| 13.88 | 6.379 | 14.1 | 1 0 0 |
| 57.82 | 1.595 | 13.0 | 4 0 0 |

Cell and atoms:
Lattice parameters (Å, degrees): 6.379 6.379 6.379 90.00 90.00 90.00
Space group P-43m (No. 215)
Symmetry-distinct sites (fractional):
Cs  0.000  0.000  0.000 (multiplicity 1)
Cu  0.000  0.500  0.500 (multiplicity 3)
Ge  0.500  0.500  0.500 (multiplicity 1)
Se  0.289  0.289  0.711 (multiplicity 4)